[1]
Structure and computed powder diffractogram of NaPu4H10 (a PBE-relaxed structure; CuKα).
No peak broadening, texture or thermal motion is included.

Largest 10 diffraction maxima, in order of rising 2θ, 15 to 90 degrees two-theta:
2theta  Rel. int.
28.37  360
29.41  1000
33.79  676
47.86  272
49.20  255
56.57  163
57.77  310
58.36  164
61.01  131
79.74  131

Cell: 15.8744 15.8744 15.8744 Å, 13.40 13.40 13.40°
Element x y z (fractional)
Na: 0.0000 0.0000 0.0000
Pu: 0.2002 0.2002 0.2002
Pu: 0.4014 0.4014 0.4014
Pu: 0.5986 0.5986 0.5986
Pu: 0.7998 0.7998 0.7998
H: 0.0539 0.0539 0.0539
H: 0.1510 0.1510 0.1510
H: 0.2479 0.2479 0.2479
H: 0.3562 0.3562 0.3562
H: 0.4498 0.4498 0.4498
H: 0.5502 0.5502 0.5502
H: 0.6438 0.6438 0.6438
H: 0.7521 0.7521 0.7521
H: 0.8490 0.8490 0.8490
H: 0.9461 0.9461 0.9461


[2]
Structure and computed powder diffractogram of Rb2Na3H5 (a PBE-relaxed structure; CuKα).
No peak broadening, texture or thermal motion is included.

Largest 10 diffraction maxima, in order of rising 2θ, 15 to 90 degrees two-theta:
2theta  Rel. int.
23.29  375
25.17  183
25.37  382
28.58  504
29.14  459
29.45  1000
32.75  842
34.52  197
35.80  234
48.94  171

Cell: 6.7275 6.7275 9.2419 Å, 122.67 122.67 32.87°
Element x y z (fractional)
Rb: 0.1753 0.1753 0.2640
Rb: 0.8247 0.8247 0.7360
Na: 0.0000 0.0000 0.5000
Na: 0.3891 0.3891 0.1295
Na: 0.6109 0.6109 0.8705
H: 0.1828 0.1828 0.8197
H: 0.4198 0.4198 0.5875
H: 0.5000 0.5000 0.0000
H: 0.5802 0.5802 0.4125
H: 0.8172 0.8172 0.1803


[3]
Structure and computed powder diffractogram of Rb2NaSrH (a PBE-relaxed structure; CuKα).
No peak broadening, texture or thermal motion is included.

Largest 10 diffraction maxima, in order of rising 2θ, 15 to 90 degrees two-theta:
2theta  Rel. int.
25.52  1000
26.71  457
34.62  157
38.13  174
44.24  236
46.44  404
52.43  148
56.73  105
70.41  109
73.16  107

Cell: 6.6758 6.6758 5.1843 Å, 90.00 90.00 90.00°
Element x y z (fractional)
Rb: 0.0000 0.5000 0.0000
Rb: 0.5000 0.0000 0.0000
Na: 0.0000 0.0000 0.5000
Sr: 0.5000 0.5000 0.5000
H: 0.5000 0.5000 0.0000


[4]
Structure and computed powder diffractogram of Rb2NaTcH6 (a PBE-relaxed structure; CuKα).
No peak broadening, texture or thermal motion is included.

Largest 10 diffraction maxima, in order of rising 2θ, 15 to 90 degrees two-theta:
2theta  Rel. int.
18.12  97
18.23  98
29.86  1000
30.07  196
42.65  78
42.85  154
52.94  231
53.28  151
62.06  98
85.80  77

Cell: 5.9822 5.9822 5.9822 Å, 120.43 119.87 89.75°
Element x y z (fractional)
Rb: 0.2504 0.2504 0.0000
Rb: 0.7496 0.7496 0.0000
Na: 0.5000 0.0000 0.5000
Tc: 0.0000 0.5000 0.5000
H: 0.2129 0.7129 0.5000
H: 0.2163 0.2881 0.5043
H: 0.2163 0.7119 0.9282
H: 0.7837 0.2881 0.0718
H: 0.7837 0.7119 0.4957
H: 0.7871 0.2871 0.5000


[5]
Structure and computed powder diffractogram of Na5Re2H12 (a PBE-relaxed structure; CuKα).
No peak broadening, texture or thermal motion is included.

Largest 10 diffraction maxima, in order of rising 2θ, 15 to 90 degrees two-theta:
2theta  Rel. int.
15.70  970
17.04  1000
22.32  523
24.27  458
25.13  440
31.70  299
32.51  361
35.52  383
36.99  362
37.61  300

Cell: 6.4518 6.4518 7.6167 Å, 104.20 104.20 49.34°
Element x y z (fractional)
Na: 0.0000 0.0000 0.0000
Na: 0.2952 0.2952 0.6758
Na: 0.3134 0.3134 0.1358
Na: 0.6866 0.6866 0.8642
Na: 0.7048 0.7048 0.3242
Re: 0.2241 0.7759 0.5000
Re: 0.7759 0.2241 0.5000
H: 0.0097 0.0097 0.3290
H: 0.0965 0.5937 0.9203
H: 0.1388 0.5618 0.4302
H: 0.4063 0.9035 0.0797
H: 0.4382 0.8612 0.5698
H: 0.4953 0.4953 0.6557
H: 0.5047 0.5047 0.3443
H: 0.5618 0.1388 0.4302
H: 0.5937 0.0965 0.9203
H: 0.8612 0.4382 0.5698
H: 0.9035 0.4063 0.0797
H: 0.9903 0.9903 0.6710


[6]
Structure and computed powder diffractogram of Na2H5Rh2 (a PBE-relaxed structure; CuKα).
No peak broadening, texture or thermal motion is included.

Largest 10 diffraction maxima, in order of rising 2θ, 15 to 90 degrees two-theta:
2theta  Rel. int.
15.96  481
21.34  293
29.08  108
34.04  1000
38.00  170
39.02  152
39.75  322
45.03  101
56.91  184
68.49  174

Cell: 5.5652 5.5652 5.6227 Å, 98.75 98.75 33.53°
Element x y z (fractional)
Na: 0.1070 0.1070 0.3539
Na: 0.8930 0.8930 0.6461
H: 0.1742 0.1742 0.0014
H: 0.4482 0.4482 0.3675
H: 0.5000 0.5000 0.0000
H: 0.5518 0.5518 0.6325
H: 0.8258 0.8258 0.9986
Rh: 0.3542 0.3542 0.1126
Rh: 0.6458 0.6458 0.8874


Q: What is the formula in the second record?
A: Rb2Na3H5


Please write out number 2 again, unchanged.
Structure and computed powder diffractogram of Rb2Na3H5 (a PBE-relaxed structure; CuKα).
No peak broadening, texture or thermal motion is included.

Largest 10 diffraction maxima, in order of rising 2θ, 15 to 90 degrees two-theta:
2theta  Rel. int.
23.29  375
25.17  183
25.37  382
28.58  504
29.14  459
29.45  1000
32.75  842
34.52  197
35.80  234
48.94  171

Cell: 6.7275 6.7275 9.2419 Å, 122.67 122.67 32.87°
Element x y z (fractional)
Rb: 0.1753 0.1753 0.2640
Rb: 0.8247 0.8247 0.7360
Na: 0.0000 0.0000 0.5000
Na: 0.3891 0.3891 0.1295
Na: 0.6109 0.6109 0.8705
H: 0.1828 0.1828 0.8197
H: 0.4198 0.4198 0.5875
H: 0.5000 0.5000 0.0000
H: 0.5802 0.5802 0.4125
H: 0.8172 0.8172 0.1803